This entry pairs a crystal structure of NdBMoO6 with its theoretical X-ray diffraction stick pattern. Radiation: copper Kα. Structure: a crystal structure in Alexandria, relaxed with PBE+U.

Most intense lines, 2θ = 15–90°, in order of rising 2θ:
2θ = 19.2°, rel. 45; 2θ = 25.8°, rel. 94; 2θ = 26.0°, rel. 100; 2θ = 26.9°, rel. 55; 2θ = 28.7°, rel. 62; 2θ = 30.2°, rel. 49; 2θ = 30.8°, rel. 37; 2θ = 31.1°, rel. 31; 2θ = 43.9°, rel. 45; 2θ = 44.8°, rel. 50

Structure:
Cell lengths 10.383, 4.222, 12.065 Å; angles 90.00, 117.31, 90.00 degrees
Fractional positions:
Nd1 0.195 0.180 0.033
Nd2 0.195 0.320 0.533
Nd3 0.805 0.680 0.467
Nd4 0.805 0.820 0.967
B1 0.002 0.677 0.808
B2 0.002 0.823 0.308
B3 0.998 0.177 0.692
B4 0.998 0.323 0.192
Mo1 0.354 0.726 0.813
Mo2 0.354 0.774 0.313
Mo3 0.646 0.226 0.687
Mo4 0.646 0.274 0.187
O1 0.001 0.214 0.089
O2 0.001 0.286 0.589
O3 0.032 0.147 0.302
O4 0.032 0.353 0.802
O5 0.259 0.686 0.143
O6 0.259 0.814 0.643
O7 0.260 0.688 0.404
O8 0.260 0.812 0.904
O9 0.336 0.195 0.293
O10 0.336 0.305 0.793
O11 0.456 0.206 0.106
O12 0.456 0.294 0.606
O13 0.544 0.706 0.394
O14 0.544 0.794 0.894
O15 0.664 0.695 0.207
O16 0.664 0.805 0.707
O17 0.740 0.188 0.096
O18 0.740 0.312 0.596
O19 0.741 0.186 0.357
O20 0.741 0.314 0.857
O21 0.968 0.647 0.198
O22 0.968 0.853 0.698
O23 0.999 0.714 0.411
O24 0.999 0.786 0.911